(1)
For PuAs12Ru4, a DFT-relaxed cell (GGA-PBE, Alexandria) gives the calculated XRD peak list in this record (copper Kα).
Peak positions follow from Bragg's law for the DFT cell and can differ from measured ones.

Main lines, low angle first (10 to 90 degrees two-theta):
d = 6.070 Å, rel. 14.9
d = 3.035 Å, rel. 39.3
d = 2.714 Å, rel. 100.0
d = 2.294 Å, rel. 60.5
d = 2.146 Å, rel. 7.1
d = 1.919 Å, rel. 17.7
d = 1.752 Å, rel. 48.4
d = 1.683 Å, rel. 41.6
d = 1.357 Å, rel. 15.3
d = 1.266 Å, rel. 15.1
d = 1.239 Å, rel. 10.8
d = 1.127 Å, rel. 10.0

Lattice parameters (Å, degrees): 7.4337 7.4337 7.4337 109.47 109.47 109.47
Element x y z (fractional)
Pu 0.0000 0.0000 0.0000
As 0.1494 0.3469 0.4963
As 0.1494 0.6531 0.8025
As 0.1975 0.8506 0.3469
As 0.3469 0.1975 0.8506
As 0.3469 0.4963 0.1494
As 0.4963 0.1494 0.3469
As 0.5037 0.8506 0.6531
As 0.6531 0.5037 0.8506
As 0.6531 0.8025 0.1494
As 0.8025 0.1494 0.6531
As 0.8506 0.3469 0.1975
As 0.8506 0.6531 0.5037
Ru 0.0000 0.0000 0.5000
Ru 0.0000 0.5000 0.0000
Ru 0.5000 0.0000 0.0000
Ru 0.5000 0.5000 0.5000

=====

(2)
For PuAs4Ru5, a DFT-relaxed cell (GGA-PBE, Alexandria) gives the calculated XRD peak list in this record (copper Kα).
Peak positions follow from Bragg's law for the DFT cell and can differ from measured ones.

Main lines, low angle first (10 to 90 degrees two-theta):
d = 6.206 Å, rel. 24.4
d = 3.373 Å, rel. 35.0
d = 2.928 Å, rel. 44.8
d = 2.545 Å, rel. 100.0
d = 2.426 Å, rel. 22.7
d = 2.386 Å, rel. 21.7
d = 2.247 Å, rel. 26.4
d = 2.069 Å, rel. 12.9
d = 1.930 Å, rel. 27.8
d = 1.868 Å, rel. 57.0
d = 1.464 Å, rel. 13.8
d = 1.102 Å, rel. 12.6

Lattice parameters (Å, degrees): 7.8345 7.8345 7.8345 151.48 127.00 61.29
Element x y z (fractional)
Pu 0.0000 0.0000 0.0000
As 0.2236 0.2236 0.0000
As 0.2954 0.5000 0.7954
As 0.7046 0.5000 0.2046
As 0.7764 0.7764 0.0000
Ru 0.0395 0.3297 0.7098
Ru 0.3801 0.6703 0.7098
Ru 0.5000 0.0000 0.5000
Ru 0.6199 0.3297 0.2902
Ru 0.9605 0.6703 0.2902

=====

(3)
For Pu2SbAs, a DFT-relaxed cell (GGA-PBE, Alexandria) gives the calculated XRD peak list in this record (copper Kα).
Peak positions follow from Bragg's law for the DFT cell and can differ from measured ones.

Main lines, low angle first (10 to 90 degrees two-theta):
d = 3.959 Å, rel. 26.5
d = 3.846 Å, rel. 28.5
d = 3.322 Å, rel. 20.0
d = 3.201 Å, rel. 88.0
d = 2.544 Å, rel. 100.0
d = 2.513 Å, rel. 97.0
d = 2.460 Å, rel. 46.6
d = 2.304 Å, rel. 27.9
d = 2.048 Å, rel. 29.7
d = 1.923 Å, rel. 18.9
d = 1.673 Å, rel. 26.9
d = 1.588 Å, rel. 48.6

Lattice parameters (Å, degrees): 7.9600 7.9600 6.6406 90.00 90.00 150.18
Element x y z (fractional)
Pu 0.1293 0.8707 0.5158
Pu 0.1293 0.8707 0.9842
Pu 0.8707 0.1293 0.0158
Pu 0.8707 0.1293 0.4842
Sb 0.4894 0.5106 0.7500
Sb 0.5106 0.4894 0.2500
As 0.2753 0.7247 0.2500
As 0.7247 0.2753 0.7500

=====

(4)
For Pu2SbAs, a DFT-relaxed cell (GGA-PBE, Alexandria) gives the calculated XRD peak list in this record (copper Kα).
Peak positions follow from Bragg's law for the DFT cell and can differ from measured ones.

Main lines, low angle first (10 to 90 degrees two-theta):
d = 3.500 Å, rel. 44.2
d = 3.036 Å, rel. 100.0
d = 3.022 Å, rel. 47.4
d = 2.147 Å, rel. 38.5
d = 2.142 Å, rel. 73.3
d = 1.830 Å, rel. 15.8
d = 1.750 Å, rel. 39.6
d = 1.518 Å, rel. 13.0
d = 1.357 Å, rel. 35.2
d = 1.353 Å, rel. 15.0
d = 1.239 Å, rel. 25.7
d = 1.236 Å, rel. 11.2

Lattice parameters (Å, degrees): 7.4134 7.4134 7.4134 131.65 131.65 70.79
Element x y z (fractional)
Pu 0.1153 0.3653 0.7500
Pu 0.3653 0.1153 0.2500
Pu 0.6347 0.8847 0.7500
Pu 0.8847 0.6347 0.2500
Sb 0.3750 0.6250 0.7500
Sb 0.6250 0.3750 0.2500
As 0.1250 0.8750 0.2500
As 0.8750 0.1250 0.7500

=====

(5)
For PuSc3As4, a DFT-relaxed cell (GGA-PBE, Alexandria) gives the calculated XRD peak list in this record (copper Kα).
Peak positions follow from Bragg's law for the DFT cell and can differ from measured ones.

Main lines, low angle first (10 to 90 degrees two-theta):
d = 7.900 Å, rel. 11.3
d = 6.423 Å, rel. 15.2
d = 4.991 Å, rel. 19.6
d = 3.369 Å, rel. 12.9
d = 2.790 Å, rel. 100.0
d = 1.976 Å, rel. 36.3
d = 1.970 Å, rel. 35.9
d = 1.612 Å, rel. 18.7
d = 1.395 Å, rel. 11.4
d = 1.249 Å, rel. 15.7
d = 1.246 Å, rel. 15.6
d = 1.140 Å, rel. 10.0

Lattice parameters (Å, degrees): 6.8150 7.8998 6.8464 90.00 109.53 90.00
Element x y z (fractional)
Pu 0.0000 0.1278 0.2500
Pu 0.0000 0.8722 0.7500
Sc 0.0000 0.3769 0.7500
Sc 0.0000 0.6231 0.2500
Sc 0.5000 0.1291 0.7500
Sc 0.5000 0.3766 0.2500
Sc 0.5000 0.6234 0.7500
Sc 0.5000 0.8709 0.2500
As 0.2550 0.3809 0.5046
As 0.2550 0.6191 0.0046
As 0.2586 0.1289 0.9998
As 0.2586 0.8711 0.4998
As 0.7414 0.1289 0.5002
As 0.7414 0.8711 0.0002
As 0.7450 0.3809 0.9954
As 0.7450 0.6191 0.4954

=====

(6)
For Pu8As4Se3, a DFT-relaxed cell (GGA-PBE, Alexandria) gives the calculated XRD peak list in this record (copper Kα).
Peak positions follow from Bragg's law for the DFT cell and can differ from measured ones.

Main lines, low angle first (10 to 90 degrees two-theta):
d = 3.361 Å, rel. 85.1
d = 2.928 Å, rel. 51.2
d = 2.902 Å, rel. 100.0
d = 2.066 Å, rel. 19.3
d = 2.060 Å, rel. 57.5
d = 2.052 Å, rel. 37.8
d = 1.753 Å, rel. 14.3
d = 1.750 Å, rel. 14.3
d = 1.683 Å, rel. 20.5
d = 1.678 Å, rel. 20.3
d = 1.298 Å, rel. 21.8
d = 1.188 Å, rel. 13.3

Lattice parameters (Å, degrees): 8.2090 8.2090 8.2274 119.79 119.79 89.98
Element x y z (fractional)
Pu 0.2435 0.2435 0.9954
Pu 0.2449 0.7551 0.0000
Pu 0.2494 0.7506 0.5000
Pu 0.2518 0.2518 0.5056
Pu 0.7482 0.7482 0.4944
Pu 0.7506 0.2494 0.5000
Pu 0.7551 0.2449 0.0000
Pu 0.7565 0.7565 0.0046
As 0.0000 0.0000 0.5000
As 0.0000 0.5000 0.5000
As 0.5000 0.0000 0.5000
As 0.5000 0.5000 0.0000
Se 0.0000 0.5000 0.0000
Se 0.5000 0.0000 0.0000
Se 0.5000 0.5000 0.5000

=====

(7)
For SmPu3As4, a DFT-relaxed cell (GGA-PBE, Alexandria) gives the calculated XRD peak list in this record (copper Kα).
Peak positions follow from Bragg's law for the DFT cell and can differ from measured ones.

Main lines, low angle first (10 to 90 degrees two-theta):
d = 5.875 Å, rel. 2.5
d = 4.154 Å, rel. 2.3
d = 3.392 Å, rel. 40.9
d = 2.938 Å, rel. 100.0
d = 2.077 Å, rel. 75.9
d = 1.771 Å, rel. 21.0
d = 1.696 Å, rel. 27.0
d = 1.469 Å, rel. 12.7
d = 1.348 Å, rel. 8.8
d = 1.314 Å, rel. 35.1
d = 1.199 Å, rel. 26.4
d = 1.131 Å, rel. 7.1

Lattice parameters (Å, degrees): 5.8753 5.8753 5.8753 90.00 90.00 90.00
Element x y z (fractional)
Sm 0.0000 0.0000 0.0000
Pu 0.0000 0.5000 0.5000
Pu 0.5000 0.0000 0.5000
Pu 0.5000 0.5000 0.0000
As 0.0000 0.0000 0.5000
As 0.0000 0.5000 0.0000
As 0.5000 0.0000 0.0000
As 0.5000 0.5000 0.5000

=====

(8)
For Sm5Pu3As8, a DFT-relaxed cell (GGA-PBE, Alexandria) gives the calculated XRD peak list in this record (copper Kα).
Peak positions follow from Bragg's law for the DFT cell and can differ from measured ones.

Main lines, low angle first (10 to 90 degrees two-theta):
d = 6.821 Å, rel. 5.2
d = 3.415 Å, rel. 30.5
d = 2.958 Å, rel. 100.0
d = 2.091 Å, rel. 75.4
d = 1.784 Å, rel. 11.6
d = 1.709 Å, rel. 20.1
d = 1.704 Å, rel. 6.6
d = 1.479 Å, rel. 12.5
d = 1.324 Å, rel. 17.3
d = 1.322 Å, rel. 17.1
d = 1.208 Å, rel. 19.4
d = 1.205 Å, rel. 6.4

Lattice parameters (Å, degrees): 8.3573 8.3573 8.3573 60.13 60.13 60.13
Element x y z (fractional)
Sm 0.0000 0.0000 0.0000
Sm 0.0000 0.5000 0.5000
Sm 0.5000 0.0000 0.5000
Sm 0.5000 0.5000 0.0000
Sm 0.5000 0.5000 0.5000
Pu 0.0000 0.0000 0.5000
Pu 0.0000 0.5000 0.0000
Pu 0.5000 0.0000 0.0000
As 0.2442 0.7500 0.7500
As 0.2472 0.2472 0.2472
As 0.2500 0.2500 0.7558
As 0.2500 0.7558 0.2500
As 0.7500 0.2442 0.7500
As 0.7500 0.7500 0.2442
As 0.7528 0.7528 0.7528
As 0.7558 0.2500 0.2500

=====

(9)
For Sm2PuAs, a DFT-relaxed cell (GGA-PBE, Alexandria) gives the calculated XRD peak list in this record (copper Kα).
Peak positions follow from Bragg's law for the DFT cell and can differ from measured ones.

Main lines, low angle first (10 to 90 degrees two-theta):
d = 3.459 Å, rel. 51.5
d = 3.303 Å, rel. 100.0
d = 3.249 Å, rel. 87.6
d = 2.527 Å, rel. 89.9
d = 2.272 Å, rel. 76.2
d = 1.918 Å, rel. 54.8
d = 1.678 Å, rel. 49.7
d = 1.528 Å, rel. 19.4
d = 1.466 Å, rel. 19.4
d = 1.284 Å, rel. 29.2
d = 1.195 Å, rel. 17.5
d = 1.165 Å, rel. 18.6

Lattice parameters (Å, degrees): 10.6115 10.6115 10.6115 20.83 20.83 20.83
Element x y z (fractional)
Sm 0.1094 0.1094 0.1094
Sm 0.8906 0.8906 0.8906
Pu 0.0000 0.0000 0.0000
As 0.5000 0.5000 0.5000

=====

(10)
For SrPu4As5, a DFT-relaxed cell (GGA-PBE, Alexandria) gives the calculated XRD peak list in this record (copper Kα).
Peak positions follow from Bragg's law for the DFT cell and can differ from measured ones.

Main lines, low angle first (10 to 90 degrees two-theta):
d = 3.438 Å, rel. 29.8
d = 3.422 Å, rel. 28.9
d = 2.975 Å, rel. 100.0
d = 2.961 Å, rel. 50.5
d = 2.111 Å, rel. 18.1
d = 2.098 Å, rel. 95.0
d = 1.789 Å, rel. 15.3
d = 1.719 Å, rel. 19.3
d = 1.711 Å, rel. 20.6
d = 1.329 Å, rel. 16.6
d = 1.326 Å, rel. 26.3
d = 1.211 Å, rel. 13.2

Lattice parameters (Å, degrees): 11.1621 11.1621 11.1621 158.35 149.23 37.94
Element x y z (fractional)
Sr 0.0000 0.0000 0.0000
Pu 0.2041 0.2041 0.0000
Pu 0.4013 0.4013 0.0000
Pu 0.5987 0.5987 0.0000
Pu 0.7959 0.7959 0.0000
As 0.1115 0.6115 0.5000
As 0.3024 0.8024 0.5000
As 0.5000 0.0000 0.5000
As 0.6976 0.1976 0.5000
As 0.8885 0.3885 0.5000

=====

(11)
For Sr5PuAs5, a DFT-relaxed cell (GGA-PBE, Alexandria) gives the calculated XRD peak list in this record (copper Kα).
Peak positions follow from Bragg's law for the DFT cell and can differ from measured ones.

Main lines, low angle first (10 to 90 degrees two-theta):
d = 8.346 Å, rel. 57.8
d = 6.335 Å, rel. 21.1
d = 5.598 Å, rel. 53.8
d = 3.168 Å, rel. 89.4
d = 3.137 Å, rel. 91.3
d = 3.074 Å, rel. 91.8
d = 2.259 Å, rel. 29.7
d = 2.206 Å, rel. 64.5
d = 2.197 Å, rel. 100.0
d = 1.820 Å, rel. 30.6
d = 1.789 Å, rel. 34.9
d = 1.408 Å, rel. 22.7

Lattice parameters (Å, degrees): 7.7784 7.7784 8.8005 106.94 106.94 46.55
Element x y z (fractional)
Sr 0.0000 0.0000 0.0000
Sr 0.3118 0.3118 0.1764
Sr 0.3232 0.3232 0.6456
Sr 0.6768 0.6768 0.3544
Sr 0.6882 0.6882 0.8236
Pu 0.0000 0.0000 0.5000
As 0.1443 0.1443 0.3357
As 0.1547 0.1547 0.8158
As 0.5000 0.5000 0.5000
As 0.8453 0.8453 0.1842
As 0.8557 0.8557 0.6643

=====

(12)
For SrPu2UAs4, a DFT-relaxed cell (GGA-PBE, Alexandria) gives the calculated XRD peak list in this record (copper Kα).
Peak positions follow from Bragg's law for the DFT cell and can differ from measured ones.

Main lines, low angle first (10 to 90 degrees two-theta):
d = 5.300 Å, rel. 10.5
d = 3.422 Å, rel. 35.5
d = 2.964 Å, rel. 100.0
d = 2.096 Å, rel. 75.7
d = 1.787 Å, rel. 18.8
d = 1.711 Å, rel. 26.9
d = 1.481 Å, rel. 8.5
d = 1.360 Å, rel. 8.2
d = 1.326 Å, rel. 23.0
d = 1.325 Å, rel. 11.8
d = 1.210 Å, rel. 26.1
d = 1.140 Å, rel. 4.8

Lattice parameters (Å, degrees): 7.2634 7.2634 7.2634 131.87 131.87 70.44
Element x y z (fractional)
Sr 0.0000 0.0000 0.0000
Pu 0.5000 0.5000 0.0000
Pu 0.7500 0.2500 0.5000
U 0.2500 0.7500 0.5000
As 0.0073 0.5073 0.5000
As 0.2598 0.2598 0.0000
As 0.4927 0.9927 0.5000
As 0.7402 0.7402 0.0000

=====

(13)
For Tb5Pu3As8, a DFT-relaxed cell (GGA-PBE, Alexandria) gives the calculated XRD peak list in this record (copper Kα).
Peak positions follow from Bragg's law for the DFT cell and can differ from measured ones.

Main lines, low angle first (10 to 90 degrees two-theta):
d = 3.376 Å, rel. 32.1
d = 2.924 Å, rel. 100.0
d = 2.070 Å, rel. 37.8
d = 2.065 Å, rel. 37.5
d = 1.764 Å, rel. 12.2
d = 1.689 Å, rel. 20.1
d = 1.684 Å, rel. 6.6
d = 1.462 Å, rel. 12.4
d = 1.309 Å, rel. 17.2
d = 1.306 Å, rel. 17.1
d = 1.194 Å, rel. 19.4
d = 1.191 Å, rel. 6.4

Lattice parameters (Å, degrees): 8.2594 8.2594 8.2594 60.16 60.16 60.16
Element x y z (fractional)
Tb 0.0000 0.0000 0.0000
Tb 0.0000 0.5000 0.5000
Tb 0.5000 0.0000 0.5000
Tb 0.5000 0.5000 0.0000
Tb 0.5000 0.5000 0.5000
Pu 0.0000 0.0000 0.5000
Pu 0.0000 0.5000 0.0000
Pu 0.5000 0.0000 0.0000
As 0.2476 0.7500 0.7500
As 0.2488 0.2488 0.2488
As 0.2500 0.2500 0.7524
As 0.2500 0.7524 0.2500
As 0.7500 0.2476 0.7500
As 0.7500 0.7500 0.2476
As 0.7512 0.7512 0.7512
As 0.7524 0.2500 0.2500